Entry 1:
Starting from a structure optimized by DFT (GGA+U), the powder X-ray diffraction pattern of V12PbO30 was computed for Cu Ka.
Neutral-atom scattering factors, no anomalous dispersion.

```
data_V12PbO30
_chemical_formula_sum 'V12 Pb1 O30'
_cell_length_a 7.3463
_cell_length_b 8.1317
_cell_length_c 10.2958
_cell_angle_alpha 71.32
_cell_angle_beta 89.97
_cell_angle_gamma 76.96
_symmetry_space_group_name_H-M 'P 1'
_symmetry_Int_Tables_number 1
loop_
_symmetry_equiv_pos_as_xyz
'x,y,z'
loop_
_atom_site_label
_atom_site_fract_x
_atom_site_fract_y
_atom_site_fract_z
_atom_site_occupancy
V1 0.0000 0.0000 0.0000 1
V2 0.0254 0.8978 0.6920 1
V3 0.1900 0.2442 0.4907 1
V4 0.2164 0.1367 0.1882 1
V5 0.2991 0.7986 0.4796 1
V6 0.4152 0.3396 0.7068 1
V7 0.4997 0.0008 0.9990 1
V8 0.5250 0.9002 0.6897 1
V9 0.6879 0.2432 0.4906 1
V10 0.7148 0.1371 0.1883 1
V11 0.8023 0.7940 0.4804 1
V12 0.9174 0.3294 0.7120 1
Pb1 0.8616 0.5717 0.9902 1
O1 0.0418 0.8396 0.5169 1
O2 0.0475 0.7830 0.0578 1
O3 0.0614 0.6985 0.8125 1
O4 0.1377 0.4391 0.3763 1
O5 0.1583 0.3545 0.1272 1
O6 0.1807 0.3040 0.6631 1
O7 0.2248 0.0957 0.3732 1
O8 0.2367 0.0571 0.0215 1
O9 0.2715 0.9418 0.6470 1
O10 0.3021 0.7904 0.3239 1
O11 0.3571 0.5715 0.5910 1
O12 0.4113 0.3544 0.8605 1
O13 0.4498 0.1987 0.5359 1
O14 0.4793 0.0814 0.1682 1
O15 0.4884 0.0473 0.8136 1
O16 0.5385 0.8390 0.5177 1
O17 0.5598 0.7843 0.0561 1
O18 0.5846 0.7025 0.8089 1
O19 0.6428 0.4385 0.3766 1
O20 0.6641 0.3545 0.1273 1
O21 0.6670 0.3040 0.6632 1
O22 0.7270 0.0965 0.3727 1
O23 0.7337 0.0604 0.0200 1
O24 0.7559 0.9465 0.6437 1
O25 0.8028 0.7890 0.3232 1
O26 0.8568 0.5723 0.5882 1
O27 0.9115 0.3538 0.8680 1
O28 0.9505 0.1986 0.5435 1
O29 0.9797 0.0814 0.1676 1
O30 0.9875 0.0491 0.8167 1
```

Peak list (8 most intense, 2θ from 15° to 90°, by angle)
d = 5.554 Å, 16.0 deg, I = 59, (1 0 1); d = 4.865 Å, 18.2 deg, I = 80, (0 0 2); d = 3.437 Å, 25.9 deg, I = 58, (2 0 -1); d = 3.267 Å, 27.3 deg, I = 78, (2 0 1); d = 3.161 Å, 28.2 deg, I = 100, (0 2 -1); d = 2.982 Å, 30.0 deg, I = 70, (0 2 3); d = 2.778 Å, 32.2 deg, I = 73, (2 2 2); d = 1.837 Å, 49.6 deg, I = 57, (4 1 0)

---

Entry 2:
Starting from a structure optimized by DFT (GGA+U), the powder X-ray diffraction pattern of ZnMo2O12 was computed for Cu Ka.
Neutral-atom scattering factors, no anomalous dispersion.

```
data_ZnMo2O12
_chemical_formula_sum 'Zn4 Mo8 O48'
_cell_length_a 6.2359
_cell_length_b 19.3122
_cell_length_c 8.3698
_cell_angle_alpha 90.00
_cell_angle_beta 93.85
_cell_angle_gamma 90.00
_symmetry_space_group_name_H-M 'P 1 21/c 1'
_symmetry_Int_Tables_number 14
loop_
_symmetry_equiv_pos_as_xyz
'x,y,z'
'-x,-y,-z'
'-x,y+1/2,-z+1/2'
'x,-y+1/2,z+1/2'
loop_
_atom_site_label
_atom_site_fract_x
_atom_site_fract_y
_atom_site_fract_z
_atom_site_occupancy
Zn1 0.1386 0.0579 0.4820 1
Mo1 0.1119 0.5757 0.4349 1
Mo2 0.4228 0.0760 0.8662 1
O1 0.0084 0.0693 0.2685 1
O2 0.0153 0.2493 0.8119 1
O3 0.0559 0.2126 0.4269 1
O4 0.1341 0.6641 0.4487 1
O5 0.1348 0.0489 0.9541 1
O6 0.1549 0.5441 0.9376 1
O7 0.2824 0.5640 0.6630 1
O8 0.3308 0.0801 0.6571 1
O9 0.4092 0.1606 0.9278 1
O10 0.4107 0.5445 0.3968 1
O11 0.4736 0.1969 0.2671 1
O12 0.4907 0.1384 0.3223 1
```

Peak list (8 most intense, 2θ from 15° to 90°, by angle)
d = 4.983 Å, 17.8 deg, I = 47, (1 1 -1); d = 4.550 Å, 19.5 deg, I = 100, (1 2 -1); d = 4.177 Å, 21.3 deg, I = 42, (0 0 2); d = 3.524 Å, 25.3 deg, I = 95, (1 4 -1); d = 3.364 Å, 26.5 deg, I = 71, (1 0 2); d = 3.219 Å, 27.7 deg, I = 62, (0 6 0); d = 2.849 Å, 31.4 deg, I = 49, (2 2 -1); d = 2.414 Å, 37.2 deg, I = 39, (0 8 0)

---

Entry 3:
Starting from a structure optimized by DFT (GGA+U), the powder X-ray diffraction pattern of Ba3Fe2TeO5 was computed for Cu Ka.
Neutral-atom scattering factors, no anomalous dispersion.

```
data_Ba3Fe2TeO5
_chemical_formula_sum 'Ba3 Fe2 Te1 O5'
_cell_length_a 4.1129
_cell_length_b 4.1129
_cell_length_c 12.1197
_cell_angle_alpha 90.00
_cell_angle_beta 90.00
_cell_angle_gamma 90.00
_symmetry_space_group_name_H-M 'P 4/m m m'
_symmetry_Int_Tables_number 123
_symmetry_space_group_name_Hall '-P 4 2'
loop_
_atom_site_label
_atom_site_fract_x
_atom_site_fract_y
_atom_site_fract_z
_atom_site_occupancy
Ba1 0.0000 0.0000 0.0000 1
Ba2 0.0000 0.0000 0.3299 1
Fe1 0.5000 0.5000 0.1587 1
Te1 0.5000 0.5000 0.5000 1
O1 0.0000 0.5000 0.1814 1
O2 0.5000 0.5000 0.0000 1
```

Peak list (8 most intense, 2θ from 15° to 90°, by angle)
d = 2.908 Å, 30.7 deg, I = 46, (1 1 0); d = 2.882 Å, 31.0 deg, I = 100, (1 0 3); d = 2.056 Å, 44.0 deg, I = 25, (2 0 0); d = 2.020 Å, 44.9 deg, I = 11, (0 0 6); d = 1.674 Å, 54.8 deg, I = 39, (2 1 3); d = 1.659 Å, 55.4 deg, I = 17, (1 1 6); d = 1.441 Å, 64.7 deg, I = 14, (2 0 6); d = 1.098 Å, 89.2 deg, I = 10, (3 2 3)